No. 1
The following is a simulated X-ray powder pattern of Pr3RuO7. It was derived from a PBE-relaxed structure, using CuKα.
No peak broadening, texture or thermal motion is included.

Most intense lines, 5° ≤ 2θ ≤ 70°, in order of falling intensity:
2θ 28.3, I 1000; 2θ 28.7, I 788; 2θ 47.2, I 414; 2θ 33.4, I 368; 2θ 56.5, I 232; 2θ 32.3, I 197; 2θ 47.5, I 181; 2θ 31.1, I 171; 2θ 26.4, I 162; 2θ 44.2, I 125

Structural model:
```
data_Pr3RuO7
_chemical_formula_sum 'Pr6 Ru2 O14'
_cell_length_a 6.693
_cell_length_b 6.693
_cell_length_c 7.652
_cell_angle_alpha 90.00
_cell_angle_beta 90.00
_cell_angle_gamma 68.27
_space_group_name_H-M_alt 'P 1'
_space_group_IT_number 1
_space_group_name_Hall 'P 1'
loop_
_atom_site_label
_atom_site_type_symbol
_atom_site_fract_x
_atom_site_fract_y
_atom_site_fract_z
Pr1 Pr 0.000 0.000 0.000
Pr2 Pr 0.000 0.000 0.500
Pr3 Pr 0.089 0.471 0.750
Pr4 Pr 0.471 0.089 0.250
Pr5 Pr 0.529 0.911 0.750
Pr6 Pr 0.911 0.529 0.250
Ru1 Ru 0.500 0.500 0.000
Ru2 Ru 0.500 0.500 0.500
O1 O 0.104 0.159 0.250
O2 O 0.159 0.104 0.750
O3 O 0.190 0.560 0.040
O4 O 0.190 0.560 0.460
O5 O 0.419 0.581 0.750
O6 O 0.440 0.810 0.040
O7 O 0.440 0.810 0.460
O8 O 0.560 0.190 0.540
O9 O 0.560 0.190 0.960
O10 O 0.581 0.419 0.250
O11 O 0.810 0.440 0.540
O12 O 0.810 0.440 0.960
O13 O 0.841 0.896 0.250
O14 O 0.896 0.841 0.750
```

No. 2
The following is a simulated X-ray powder pattern of Pr2SmRuO8. It was derived from a PBE-relaxed structure, using CuKα.
No peak broadening, texture or thermal motion is included.

Most intense lines, 5° ≤ 2θ ≤ 70°, in order of falling intensity:
2θ 24.1, I 1000; 2θ 30.7, I 864; 2θ 46.7, I 521; 2θ 34.3, I 247; 2θ 58.3, I 167; 2θ 46.8, I 160; 2θ 59.2, I 99; 2θ 59.3, I 98; 2θ 64.0, I 96; 2θ 49.4, I 91

Structural model:
```
data_Pr2SmRuO8
_chemical_formula_sum 'Pr2 Sm1 Ru1 O8'
_cell_length_a 5.217
_cell_length_b 5.229
_cell_length_c 7.002
_cell_angle_alpha 90.01
_cell_angle_beta 90.02
_cell_angle_gamma 90.18
_space_group_name_H-M_alt 'P 1'
_space_group_IT_number 1
_space_group_name_Hall 'P 1'
loop_
_atom_site_label
_atom_site_type_symbol
_atom_site_fract_x
_atom_site_fract_y
_atom_site_fract_z
Pr1 Pr 0.001 0.001 0.252
Pr2 Pr 0.999 0.999 0.748
Sm1 Sm 0.500 0.500 0.000
Ru1 Ru 0.500 0.500 0.500
O1 O 0.195 0.192 0.000
O2 O 0.247 0.245 0.501
O3 O 0.321 0.676 0.294
O4 O 0.322 0.677 0.706
O5 O 0.678 0.323 0.294
O6 O 0.679 0.324 0.706
O7 O 0.753 0.755 0.499
O8 O 0.805 0.808 0.000
```